The following is a computed PXRD pattern of Ce2FeO5. It was derived from a PBE+U-relaxed structure, using Cu Ka.
Intensities are scaled so that the largest is 100.

Principal peaks in the range 5° ≤ 2θ ≤ 70°, sorted by position:
(hkl)  2theta  I/Imax
1 0 1  11.30  19.5
1 0 3  24.66  24.6
2 0 3  28.65  72.5
2 1 0  28.86  100.0
3 0 2  29.47  16.4
0 1 3  33.21  34.8
3 0 3  34.31  19.5
0 2 0  47.93  54.7
1 0 6  48.21  15.2
2 2 3  56.82  20.8

Structure:
```
Ce2FeO5
1.0
10.690 0.000 0.000
0.000 3.794 0.000
0.000 0.000 11.506
Ce Fe O
8 4 20
direct
0.103 0.250 0.221
0.142 0.250 0.560
0.358 0.750 0.060
0.397 0.750 0.721
0.603 0.250 0.279
0.642 0.250 0.940
0.858 0.750 0.440
0.897 0.750 0.779
0.185 0.250 0.877
0.315 0.750 0.377
0.685 0.250 0.623
0.815 0.750 0.123
0.016 0.750 0.597
0.018 0.250 0.820
0.217 0.250 0.048
0.233 0.750 0.221
0.247 0.250 0.383
0.253 0.750 0.883
0.267 0.250 0.721
0.283 0.750 0.548
0.482 0.750 0.320
0.484 0.250 0.097
0.516 0.750 0.903
0.518 0.250 0.680
0.717 0.250 0.452
0.733 0.750 0.279
0.747 0.250 0.117
0.753 0.750 0.617
0.767 0.250 0.779
0.783 0.750 0.952
0.982 0.750 0.180
0.984 0.250 0.403
```